Starting from a DFT-relaxed cell (GGA+U, Alexandria), the powder diffractogram of Li5Ti6FeO16 was computed for CuKα.
Intensities are scaled so that the largest is 100.

Peak list (10 most intense, 10 to 90 degrees two-theta, sorted by position)
Position (°2θ)	I_rel	index
18.19	23	1 0 -1
18.29	100	1 0 1
21.06	28	1 1 0
30.02	27	2 0 0
35.17	32	1 0 -3
35.27	68	1 2 -1
42.79	25	0 0 4
42.92	49	2 2 0
62.06	23	2 2 -4
62.40	31	4 0 0

Structural model:
a = 5.951 Å, b = 5.969 Å, c = 8.453 Å
α = 90.00°, β = 90.39°, γ = 90.00°
Fractional positions:
1 Li 0.000 0.000 0.000
2 Li 0.034 0.500 0.259
3 Li 0.275 0.500 0.878
4 Li 0.504 0.500 0.496
5 Li 0.759 0.000 0.380
6 Ti 0.017 0.259 0.625
7 Ti 0.017 0.741 0.625
8 Ti 0.256 0.000 0.368
9 Ti 0.517 0.251 0.137
10 Ti 0.517 0.749 0.137
11 Ti 0.791 0.500 0.885
12 Fe 0.527 0.000 0.763
13 O 0.027 0.226 0.402
14 O 0.027 0.774 0.402
15 O 0.227 0.500 0.630
16 O 0.254 0.000 0.627
17 O 0.279 0.000 0.140
18 O 0.308 0.500 0.121
19 O 0.493 0.229 0.358
20 O 0.493 0.771 0.358
21 O 0.529 0.262 0.889
22 O 0.529 0.738 0.889
23 O 0.723 0.000 0.130
24 O 0.747 0.500 0.117
25 O 0.788 0.500 0.638
26 O 0.789 0.000 0.631
27 O 0.999 0.271 0.860
28 O 0.999 0.729 0.860